# 1
Simulated powder diffractogram
Compound: CaP7
Radiation: Cu Kα (λ = 1.5418 Å)
Structure: the GGA-PBE geometry in Alexandria

abc: 8.0216 8.0216 8.0216
angles: 90.00 90.00 90.00
Space group Fm-3m (No. 225)
Inequivalent atoms, fractional coordinates:
Ca 0.0000 0.0000 0.0000 [4 per cell]
P 0.0000 0.0000 0.5000 [4 per cell]
P 0.0000 0.2500 0.2500 [24 per cell]

Most intense lines, 2θ from 10° to 90°, low angle first:
two_theta	I/Imax	h k l
19.16	1	1 1 1
38.89	100	2 2 2
45.22	47	4 0 0
65.87	29	4 4 0
79.21	35	6 2 2
83.49	10	4 4 4


# 2
Simulated powder diffractogram
Compound: Ca5P2
Radiation: Cu Kα (λ = 1.5418 Å)
Structure: the GGA-PBE geometry in Alexandria

abc: 15.9088 6.7166 7.6158
angles: 90.00 96.00 90.00
Space group C2/c (No. 15)
Inequivalent atoms, fractional coordinates:
Ca 0.0000 0.0853 0.2500 [4 per cell]
Ca 0.0910 0.4026 0.9141 [8 per cell]
Ca 0.2165 0.0710 0.3212 [8 per cell]
P 0.1068 0.1981 0.5847 [8 per cell]

Most intense lines, 2θ from 10° to 90°, low angle first:
two_theta	I/Imax	h k l
27.12	59	1 1 -2
29.09	76	0 2 1
30.63	64	3 1 -2
31.25	100	5 1 0
33.32	64	3 1 2
34.50	82	4 0 2


# 3
Simulated powder diffractogram
Compound: Ca5P
Radiation: Cu Kα (λ = 1.5418 Å)
Structure: the GGA-PBE geometry in Alexandria

abc: 13.2065 3.7552 9.4660
angles: 90.00 116.85 90.00
Space group C2/m (No. 12)
Inequivalent atoms, fractional coordinates:
Ca 0.0000 0.0000 0.0000 [2 per cell]
Ca 0.1145 0.5000 0.3879 [4 per cell]
Ca 0.1709 0.5000 0.7739 [4 per cell]
P 0.0000 0.0000 0.5000 [2 per cell]

Most intense lines, 2θ from 10° to 90°, low angle first:
two_theta	I/Imax	h k l
25.67	39	1 1 -1
27.19	52	4 0 -1
28.30	56	2 0 -3
30.45	96	1 1 -2
31.14	70	2 0 2
33.00	100	3 1 0


# 4
Simulated powder diffractogram
Compound: Ca3PaP4
Radiation: Cu Kα (λ = 1.5418 Å)
Structure: the GGA-PBE geometry in Alexandria

abc: 7.0809 8.2233 7.1466
angles: 90.00 109.92 90.00
Space group P2/c (No. 13)
Inequivalent atoms, fractional coordinates:
Ca 0.0000 0.1207 0.2500 [2 per cell]
Ca 0.0000 0.3733 0.7500 [2 per cell]
Ca 0.5000 0.1246 0.7500 [2 per cell]
Pa 0.5000 0.3700 0.2500 [2 per cell]
P 0.2578 0.1374 0.0158 [4 per cell]
P 0.2738 0.3886 0.4986 [4 per cell]

Most intense lines, 2θ from 10° to 90°, low angle first:
two_theta	I/Imax	h k l
10.76	40	0 1 0
13.30	58	1 0 0
17.09	64	0 1 1
26.54	51	1 2 -1
30.70	51	2 0 -2
30.86	100	1 2 1


# 5
Simulated powder diffractogram
Compound: CaPa2P4
Radiation: Cu Kα (λ = 1.5418 Å)
Structure: the GGA-PBE geometry in Alexandria

abc: 8.3932 8.3932 8.3125
angles: 90.00 90.00 90.00
Space group I-42d (No. 122)
Inequivalent atoms, fractional coordinates:
Ca 0.0000 0.0000 0.0000 [4 per cell]
Pa 0.1361 0.7500 0.6250 [8 per cell]
P 0.0795 0.6638 0.9436 [16 per cell]

Most intense lines, 2θ from 10° to 90°, low angle first:
two_theta	I/Imax	h k l
15.00	49	1 0 1
26.05	100	2 1 1
26.18	84	1 1 2
33.78	92	3 1 0
40.24	62	3 2 1
40.46	50	2 1 3


# 6
Simulated powder diffractogram
Compound: Ca3Tb2PaP6
Radiation: Cu Kα (λ = 1.5418 Å)
Structure: the GGA-PBE geometry in Alexandria

abc: 7.0724 12.2628 7.0579
angles: 90.00 109.57 90.00
Space group C2/m (No. 12)
Inequivalent atoms, fractional coordinates:
Ca 0.0000 0.0000 0.0000 [2 per cell]
Ca 0.0000 0.3306 0.0000 [4 per cell]
Tb 0.0000 0.1666 0.5000 [4 per cell]
Pa 0.0000 0.5000 0.5000 [2 per cell]
P 0.2398 0.3377 0.7328 [8 per cell]
P 0.2465 0.5000 0.2671 [4 per cell]

Most intense lines, 2θ from 10° to 90°, low angle first:
two_theta	I/Imax	h k l
13.31	60	0 0 1
25.57	36	1 3 0
26.72	31	1 3 -1
30.99	100	1 3 1
44.35	36	0 6 0
44.44	36	2 0 2